[1]
# Nd3Co11B4
Simulated powder XRD pattern, Cu Kα (λ = 1.5418 Å). Input: DFT lattice parameters and positions (GGA-PBE).

Atomic structure:
```
Nd3Co11B4
1.0
5.1315 0.0000 0.0000
-2.5657 4.4440 0.0000
0.0000 0.0000 9.7341
Nd Co B
3 11 4
Direct
0.0000 0.0000 0.0000
0.0000 0.0000 0.3410
0.0000 0.0000 0.6590
0.0000 0.5000 0.2043
0.0000 0.5000 0.5000
0.0000 0.5000 0.7957
0.3333 0.6667 0.0000
0.5000 0.0000 0.2043
0.5000 0.0000 0.5000
0.5000 0.0000 0.7957
0.5000 0.5000 0.2043
0.5000 0.5000 0.5000
0.5000 0.5000 0.7957
0.6667 0.3333 0.0000
0.3333 0.6667 0.3500
0.3333 0.6667 0.6500
0.6667 0.3333 0.3500
0.6667 0.3333 0.6500
```

Main lines, by angle (2θ from 10° to 80°):
- 2θ 20.0, rel. 18.8, (1 0 0)
- 2θ 34.2, rel. 99.9, (1 0 3)
- 2θ 35.0, rel. 29.5, (1 1 0)
- 2θ 40.6, rel. 100.0, (2 0 0)
- 2θ 45.0, rel. 96.2, (1 1 3)
- 2θ 62.2, rel. 35.0, (2 1 3)
- 2θ 68.4, rel. 11.9, (1 1 6)
- 2θ 69.8, rel. 24.8, (3 0 3)
- 2θ 72.1, rel. 14.7, (2 0 6)
- 2θ 73.9, rel. 24.4, (2 2 0)

=====

[2]
# EuPPd
Simulated powder XRD pattern, Cu Kα (λ = 1.5418 Å). Input: DFT lattice parameters and positions (GGA-PBE).

Atomic structure:
```
EuPPd
1.0
4.1581 0.0000 0.0000
-2.0791 3.6010 0.0000
0.0000 0.0000 8.3952
Eu P Pd
2 2 2
Direct
0.0000 0.0000 0.0000
0.0000 0.0000 0.5000
0.3333 0.6667 0.2500
0.6667 0.3333 0.7500
0.3333 0.6667 0.7500
0.6667 0.3333 0.2500
```

Main lines, by angle (2θ from 10° to 80°):
- 2θ 24.7, rel. 13.6, (1 0 0)
- 2θ 26.9, rel. 15.0, (1 0 1)
- 2θ 32.8, rel. 100.0, (1 0 2)
- 2θ 43.1, rel. 13.3, (0 0 4)
- 2θ 43.5, rel. 38.8, (1 1 0)
- 2θ 55.5, rel. 21.8, (2 0 2)
- 2θ 62.9, rel. 25.6, (1 1 4)
- 2θ 72.5, rel. 9.9, (1 0 6)
- 2θ 73.1, rel. 19.3, (2 1 2)
- 2θ 79.9, rel. 6.5, (3 0 0)